No. 1
Starting from a crystal structure in Alexandria, relaxed with GGA-PBE, the PXRD pattern of Tm15S22 was calculated for copper Kα.
Peak positions follow from Bragg's law for the DFT cell and can differ from measured ones.

Atomic structure:
```
Tm15S22
1.0
19.3077 -1.9267 0.0000
19.3077 1.9267 0.0000
-0.2377 0.0000 11.1749
Tm S
15 22
Cartesian
0.0000 0.0000 0.0000
2.6067 0.0000 3.9814
4.0754 0.0000 0.1231
7.5533 0.0000 10.5445
10.2140 0.0000 3.9575
13.0549 0.0000 7.7566
14.1249 0.0000 3.8430
17.7042 0.0000 3.0171
20.6736 0.0000 8.1577
24.2528 0.0000 7.3319
25.3229 0.0000 3.4183
28.1638 0.0000 7.2174
30.8245 0.0000 0.6304
34.3023 0.0000 11.0518
35.7710 0.0000 7.1934
0.2199 0.0000 2.6853
3.3027 0.0000 8.4449
5.0815 0.0000 5.1455
6.4101 0.0000 1.6681
6.9968 0.0000 7.7391
9.8301 0.0000 1.3544
10.6317 0.0000 6.6474
13.5967 0.0000 1.0390
15.5082 0.0000 8.8710
17.0192 0.0000 5.5148
17.4165 0.0000 0.3259
20.9613 0.0000 10.8490
21.3585 0.0000 5.6601
22.8696 0.0000 2.3039
24.7811 0.0000 10.1358
27.7461 0.0000 4.5275
28.5477 0.0000 9.8204
31.3809 0.0000 3.4358
31.9677 0.0000 9.5067
33.2963 0.0000 6.0294
35.0751 0.0000 2.7299
38.1579 0.0000 8.4896
```

Top 12 peaks for 2θ = 10–90°, most intense first:
| Position (°2θ) | I/Imax |
| --- | --- |
| 24.56 | 100.0 |
| 23.89 | 80.1 |
| 47.15 | 63.7 |
| 28.25 | 59.4 |
| 32.12 | 57.8 |
| 34.57 | 57.4 |
| 27.81 | 50.4 |
| 26.99 | 47.5 |
| 42.78 | 44.8 |
| 44.98 | 38.1 |
| 25.45 | 37.7 |
| 24.53 | 28.4 |


No. 2
Starting from a crystal structure in Alexandria, relaxed with GGA-PBE, the PXRD pattern of Pu3P2 was calculated for copper Kα.
Peak positions follow from Bragg's law for the DFT cell and can differ from measured ones.

Atomic structure:
```
Pu3P2
1.0
1.8785 -7.0808 0.0000
1.8785 7.0808 0.0000
0.0000 0.0000 8.4252
Pu P
6 4
Cartesian
1.8785 6.5345 6.3189
1.8785 4.8452 0.5389
1.8785 4.8452 3.6737
1.8785 -4.8452 4.7515
1.8785 -4.8452 7.8863
1.8785 -6.5345 2.1063
1.8785 3.7455 6.3189
1.8785 0.0000 0.0000
1.8785 0.0000 4.2126
1.8785 -3.7455 2.1063
```

Top 12 peaks for 2θ = 10–90°, most intense first:
| Position (°2θ) | I/Imax |
| --- | --- |
| 24.53 | 100.0 |
| 37.30 | 66.1 |
| 34.35 | 40.7 |
| 40.61 | 40.1 |
| 41.33 | 33.5 |
| 27.32 | 27.5 |
| 30.41 | 22.5 |
| 33.05 | 20.9 |
| 69.57 | 18.0 |
| 48.46 | 17.3 |
| 60.74 | 16.4 |
| 61.66 | 13.5 |


No. 3
Starting from a crystal structure in Alexandria, relaxed with GGA-PBE, the PXRD pattern of In2CuSe3I was calculated for copper Kα.
Peak positions follow from Bragg's law for the DFT cell and can differ from measured ones.

Atomic structure:
```
In2CuSe3I
1.0
7.0536 -2.0883 0.0000
7.0536 2.0883 0.0000
-1.2031 0.0000 7.1599
In Cu Se I
2 1 3 1
Cartesian
0.0000 0.0000 0.0000
2.5375 0.0000 5.4113
10.0293 0.0000 1.8881
2.5508 0.0000 0.6619
5.2292 0.0000 5.6331
8.8505 0.0000 3.9985
12.6592 0.0000 2.3620
```

Top 12 peaks for 2θ = 10–90°, most intense first:
| Position (°2θ) | I/Imax |
| --- | --- |
| 26.03 | 100.0 |
| 25.61 | 34.0 |
| 42.66 | 33.7 |
| 43.21 | 30.8 |
| 51.02 | 22.6 |
| 43.33 | 16.8 |
| 42.81 | 15.4 |
| 50.55 | 10.0 |
| 51.25 | 9.9 |
| 79.05 | 9.7 |
| 62.54 | 9.7 |
| 22.22 | 9.7 |


No. 4
Starting from a crystal structure in Alexandria, relaxed with GGA-PBE, the PXRD pattern of K3Dy3ZnTe8 was calculated for copper Kα.
Peak positions follow from Bragg's law for the DFT cell and can differ from measured ones.

Atomic structure:
```
K3Dy3ZnTe8
1.0
7.4764 -4.4054 0.0000
7.4764 4.4054 0.0000
-4.8947 0.0000 8.4879
K Dy Zn Te
3 3 1 8
Cartesian
0.0000 0.0000 0.0000
3.7382 2.2027 0.0000
3.7382 -2.2027 0.0000
1.2909 2.2027 4.2440
1.2909 -2.2027 4.2440
5.0290 0.0000 4.2440
-2.4473 0.0000 4.2440
-0.3401 0.0000 5.7629
2.4955 0.0000 2.4511
3.6426 1.9102 6.1583
6.4155 1.9102 2.3296
3.6426 -1.9102 6.1583
6.4155 -1.9102 2.3296
7.5626 0.0000 6.0368
10.3982 0.0000 2.7250
```

Top 12 peaks for 2θ = 10–90°, most intense first:
| Position (°2θ) | I/Imax |
| --- | --- |
| 27.42 | 100.0 |
| 10.42 | 77.7 |
| 27.54 | 39.2 |
| 36.75 | 28.8 |
| 34.22 | 27.8 |
| 41.64 | 27.3 |
| 37.30 | 21.1 |
| 40.97 | 14.8 |
| 45.80 | 13.0 |
| 23.72 | 13.0 |
| 50.08 | 12.1 |
| 42.94 | 10.8 |


No. 5
Starting from a crystal structure in Alexandria, relaxed with GGA-PBE, the PXRD pattern of Ho11Er4Sc9 was calculated for copper Kα.
Peak positions follow from Bragg's law for the DFT cell and can differ from measured ones.

Atomic structure:
```
Ho11Er4Sc9
1.0
7.8406 -12.6540 0.0000
7.8406 12.6540 0.0000
0.0000 0.0000 3.4711
Ho Er Sc
11 4 9
Cartesian
0.0000 0.0000 0.0000
3.4494 4.7058 0.0000
7.8406 7.8866 0.0000
3.3057 0.0000 0.0000
7.8406 3.1121 0.0000
3.4494 -4.7058 0.0000
12.2319 4.7058 0.0000
7.8406 -3.1121 0.0000
12.3755 0.0000 0.0000
7.8406 -7.8866 0.0000
12.2319 -4.7058 0.0000
5.1331 2.2599 1.7356
5.1331 -2.2599 1.7356
10.5481 2.2599 1.7356
10.5481 -2.2599 1.7356
1.7182 2.3772 1.7356
6.1960 5.5088 1.7356
1.7182 -2.3772 1.7356
9.4852 5.5088 1.7356
7.8406 0.0000 1.7356
6.1960 -5.5088 1.7356
13.9630 2.3772 1.7356
9.4852 -5.5088 1.7356
13.9630 -2.3772 1.7356
```

Top 12 peaks for 2θ = 10–90°, most intense first:
| Position (°2θ) | I/Imax |
| --- | --- |
| 33.62 | 100.0 |
| 33.43 | 85.6 |
| 31.14 | 79.1 |
| 34.51 | 77.7 |
| 18.42 | 71.2 |
| 35.44 | 56.4 |
| 56.22 | 49.0 |
| 62.39 | 43.9 |
| 31.78 | 40.9 |
| 38.86 | 33.3 |
| 52.72 | 31.7 |
| 64.01 | 30.7 |


No. 6
Starting from a crystal structure in Alexandria, relaxed with GGA-PBE, the PXRD pattern of CaHo4Pd4 was calculated for copper Kα.
Peak positions follow from Bragg's law for the DFT cell and can differ from measured ones.

Atomic structure:
```
CaHo4Pd4
1.0
9.1381 0.0000 0.0000
0.0000 9.1381 0.0000
0.0000 0.0000 5.6638
Ca Ho Pd
2 8 8
Cartesian
2.2845 2.2845 1.4160
6.8535 6.8535 4.2479
0.7422 5.9611 0.9242
1.3920 8.3959 3.7562
3.1770 5.3112 3.7562
3.8268 7.7460 0.9242
5.3112 1.3920 4.7396
5.9611 3.8268 1.9077
7.7460 0.7422 1.9077
8.3959 3.1770 4.7396
0.3878 5.6606 3.7546
1.0916 8.7503 0.9227
3.4775 4.9568 0.9227
4.1812 8.0465 3.7546
4.9568 1.0916 1.9093
5.6606 4.1812 4.7412
8.0465 0.3878 4.7412
8.7503 3.4775 1.9093
```

Top 12 peaks for 2θ = 10–90°, most intense first:
| Position (°2θ) | I/Imax |
| --- | --- |
| 30.95 | 100.0 |
| 13.70 | 56.4 |
| 33.12 | 49.7 |
| 44.33 | 33.8 |
| 43.64 | 31.5 |
| 48.18 | 22.5 |
| 52.43 | 18.4 |
| 38.93 | 17.0 |
| 38.68 | 16.8 |
| 44.81 | 16.7 |
| 19.43 | 14.6 |
| 60.27 | 13.6 |


No. 7
Starting from a crystal structure in Alexandria, relaxed with GGA-PBE, the PXRD pattern of Rb5Si2O6 was calculated for copper Kα.
Peak positions follow from Bragg's law for the DFT cell and can differ from measured ones.

Atomic structure:
```
Rb5Si2O6
1.0
5.5297 -3.8472 0.0000
5.5297 3.8472 0.0000
-3.4974 0.0000 14.2099
Rb Si O
10 4 12
Cartesian
2.9066 3.0898 10.6574
4.8588 2.0278 0.0758
2.8754 0.4339 4.0138
4.4519 2.0278 7.0291
1.1267 -0.4339 11.1188
6.4353 0.4339 3.0911
3.1101 -2.0278 7.1808
4.6865 -0.4339 10.1961
2.7032 -2.0278 14.1341
4.6554 -3.0898 3.5525
1.0651 1.1267 8.0687
2.8138 -1.1267 0.9637
4.7482 1.1267 13.2461
6.4969 -1.1267 6.1412
-0.2682 0.4615 8.6995
1.1496 0.9935 6.3437
1.4806 -0.4615 1.5946
2.4691 0.7674 8.7910
-0.5991 -0.9935 13.4486
3.3442 0.7674 12.5238
4.2178 -0.7674 1.6861
8.1611 0.9935 0.7613
5.0929 -0.7674 5.4189
6.0814 0.4615 12.6153
6.4124 -0.9935 7.8662
7.8301 -0.4615 5.5104
```

Top 12 peaks for 2θ = 10–90°, most intense first:
| Position (°2θ) | I/Imax |
| --- | --- |
| 26.34 | 100.0 |
| 29.81 | 68.8 |
| 29.53 | 63.9 |
| 25.07 | 53.6 |
| 29.92 | 41.4 |
| 27.48 | 38.2 |
| 42.96 | 36.4 |
| 27.63 | 34.8 |
| 33.11 | 29.9 |
| 44.97 | 27.5 |
| 33.40 | 26.7 |
| 23.96 | 23.4 |


No. 8
Starting from a crystal structure in Alexandria, relaxed with GGA-PBE, the PXRD pattern of TcIrRuW was calculated for copper Kα.
Peak positions follow from Bragg's law for the DFT cell and can differ from measured ones.

Atomic structure:
```
TcIrRuW
1.0
3.8721 0.0000 0.0000
0.0000 3.8931 0.0000
0.0000 0.0000 3.9023
Tc Ir Ru W
1 1 1 1
Cartesian
0.0000 0.0000 0.0000
1.9361 0.0000 1.9511
1.9361 1.9466 0.0000
0.0000 1.9466 1.9511
```

Top 12 peaks for 2θ = 10–90°, most intense first:
| Position (°2θ) | I/Imax |
| --- | --- |
| 40.16 | 100.0 |
| 68.29 | 20.8 |
| 46.55 | 16.4 |
| 46.66 | 16.3 |
| 46.93 | 16.0 |
| 81.96 | 12.7 |
| 82.13 | 12.6 |
| 82.53 | 12.5 |
| 86.73 | 11.2 |
| 68.03 | 10.5 |
| 22.79 | 8.6 |
| 32.62 | 7.3 |